1.
YMgAlGe2: simulated X-ray diffraction stick pattern (Cu Kα, 1.54184 Å), based on a DFT-relaxed cell (GGA-PBE, Alexandria).

Structure:
```
data_YMgAlGe2
_space_group_name_H-M_alt 'P 3 m 1'
_space_group_IT_number 156
_cell_length_a 4.2955
_cell_length_b 4.2955
_cell_length_c 6.8996
_cell_angle_alpha 90.00
_cell_angle_beta 90.00
_cell_angle_gamma 120.00
loop_
_space_group_symop_operation_xyz
'x,y,z'
'-y,x-y,z'
'-x+y,-x,z'
'-y,-x,z'
'-x+y,y,z'
'x,x-y,z'
loop_
_atom_site_label
_atom_site_type_symbol
_atom_site_fract_x
_atom_site_fract_y
_atom_site_fract_z
Y1 Y 0.0000 0.0000 0.0000
Mg1 Mg 0.6667 0.3333 0.3560
Al1 Al 0.3333 0.6667 0.6234
Ge1 Ge 0.3333 0.6667 0.2379
Ge2 Ge 0.6667 0.3333 0.7530
```

Most intense lines, 10° ≤ 2θ ≤ 90°, low angle first:
2theta  Rel. int.  index
12.83  18.1  0 0 1
27.23  100.0  0 1 1
35.49  77.2  0 1 2
42.07  65.0  1 1 0
46.42  34.6  1 0 3
50.84  17.3  2 0 1
56.18  19.9  2 0 2
68.05  14.1  1 2 1
72.61  18.1  1 2 2
79.98  13.5  2 1 3

2.
Mn2Al2Ge: simulated X-ray diffraction stick pattern (Cu Kα, 1.54184 Å), based on a DFT-relaxed cell (GGA-PBE, Alexandria).

Structure:
```
data_Mn2Al2Ge
_space_group_name_H-M_alt 'P 4/m b m'
_space_group_IT_number 127
_space_group_name_Hall '-P 4 2ab'
_cell_length_a 6.006
_cell_length_b 6.006
_cell_length_c 3.875
_cell_angle_alpha 90.00
_cell_angle_beta 90.00
_cell_angle_gamma 90.00
loop_
_atom_site_label
_atom_site_type_symbol
_atom_site_fract_x
_atom_site_fract_y
_atom_site_fract_z
Mn1 Mn 0.137 0.363 0.000
Al1 Al 0.159 0.659 0.500
Ge1 Ge 0.000 0.000 0.000
```

Most intense lines, 10° ≤ 2θ ≤ 90°, low angle first:
2theta  Rel. int.  index
22.95  66.6  0 0 1
31.25  12.9  1 1 1
37.90  25.7  2 0 1
40.88  100.0  2 1 1
42.58  10.9  2 2 0
46.89  30.7  0 0 2
47.90  55.0  3 1 0
53.75  32.4  3 1 1
69.28  34.5  3 1 2
82.94  11.2  2 1 3

3.
AlGeMo: simulated X-ray diffraction stick pattern (Cu Kα, 1.54184 Å), based on a DFT-relaxed cell (GGA-PBE, Alexandria).

Structure:
```
data_AlGeMo
_space_group_name_H-M_alt 'P 32 1 2'
_space_group_IT_number 153
_cell_length_a 4.8494
_cell_length_b 4.8494
_cell_length_c 6.7230
_cell_angle_alpha 90.00
_cell_angle_beta 90.00
_cell_angle_gamma 120.00
loop_
_space_group_symop_operation_xyz
'x,y,z'
'-y,x-y,z+2/3'
'-x+y,-x,z+1/3'
'-y,-x,-z+1/3'
'-x+y,y,-z+2/3'
'x,x-y,-z'
loop_
_atom_site_label
_atom_site_type_symbol
_atom_site_fract_x
_atom_site_fract_y
_atom_site_fract_z
Al1 Al 0.0006 0.5003 0.0000
Ge1 Ge 0.3409 0.1704 0.0000
Mo1 Mo 0.1636 0.3272 0.3333
```

Most intense lines, 10° ≤ 2θ ≤ 90°, low angle first:
2theta  Rel. int.  index
25.00  33.2  1 0 1
34.17  14.8  1 0 2
37.08  14.9  1 1 0
39.51  100.0  1 1 1
40.24  35.5  0 0 3
46.16  63.2  2 -1 2
67.85  19.5  1 1 4
68.46  18.8  3 0 1
73.24  15.5  3 0 2
78.97  14.2  2 2 0